Entry 1:
Structure and simulated PXRD pattern of LaZnAg2F8 (DFT lattice parameters and positions (GGA-PBE); Cu Kα (weighted mean of Kα1 and Kα2)).
No peak broadening, texture or thermal motion is included.

The 6 most intense peaks (2θ = 10–90°), low angle first:
2theta, d_spacing, I (rel.)
26.1, 3.416, 100
27.8, 3.213, 40
29.7, 3.010, 32
31.5, 2.843, 30
44.5, 2.035, 34
47.1, 1.930, 29

Structural model:
```
LaZnAg2F8
1.0
4.348 0.000 0.000
-0.004 5.534 0.000
-0.006 -0.530 7.516
La Zn Ag F
1 1 2 8
direct
0.000 0.000 0.000
0.000 0.000 0.500
0.484 0.507 0.272
0.516 0.493 0.728
0.110 0.214 0.281
0.114 0.228 0.749
0.355 0.777 0.490
0.451 0.758 0.975
0.549 0.242 0.025
0.645 0.223 0.510
0.886 0.772 0.251
0.890 0.786 0.719
```

Entry 2:
Structure and simulated PXRD pattern of Li4Ag2F9 (DFT lattice parameters and positions (GGA-PBE); Cu Kα (weighted mean of Kα1 and Kα2)).
No peak broadening, texture or thermal motion is included.

The 6 most intense peaks (2θ = 10–90°), low angle first:
2theta, d_spacing, I (rel.)
18.1, 4.891, 100
18.8, 4.714, 93
20.3, 4.385, 71
28.0, 3.190, 51
28.2, 3.167, 63
35.9, 2.504, 57

Structural model:
```
Li4Ag2F9
1.0
5.178 0.000 0.000
-2.071 4.948 0.000
-1.677 -2.266 14.781
Li Ag F
8 4 18
direct
0.131 0.341 0.313
0.156 0.355 0.510
0.162 0.339 0.996
0.223 0.356 0.768
0.777 0.644 0.232
0.838 0.661 0.004
0.844 0.645 0.490
0.869 0.659 0.687
0.456 0.971 0.363
0.481 0.990 0.882
0.519 0.010 0.118
0.544 0.029 0.637
0.069 0.546 0.411
0.121 0.971 0.280
0.198 0.017 0.560
0.216 0.709 0.770
0.233 0.725 0.010
0.254 0.237 0.884
0.282 0.237 0.104
0.448 0.646 0.279
0.461 0.317 0.429
0.539 0.683 0.571
0.552 0.354 0.721
0.718 0.763 0.896
0.746 0.763 0.116
0.767 0.275 0.990
0.784 0.291 0.230
0.802 0.983 0.440
0.879 0.029 0.720
0.931 0.454 0.589
```

Entry 3:
Structure and simulated PXRD pattern of Li3Ag3F8 (DFT lattice parameters and positions (GGA-PBE); Cu Kα (weighted mean of Kα1 and Kα2)).
No peak broadening, texture or thermal motion is included.

The 6 most intense peaks (2θ = 10–90°), low angle first:
2theta, d_spacing, I (rel.)
16.3, 5.443, 66
28.3, 3.150, 88
32.9, 2.726, 100
44.0, 2.059, 29
53.1, 1.725, 24
61.3, 1.512, 22

Structural model:
```
Li3Ag3F8
1.0
3.150 1.818 5.443
-3.150 1.818 5.443
0.000 -3.637 5.443
Li Ag F
3 3 8
direct
0.000 0.500 0.500
0.500 0.000 0.500
0.500 0.500 0.000
0.142 0.142 0.142
0.500 0.500 0.500
0.858 0.858 0.858
0.260 0.260 0.710
0.260 0.710 0.260
0.276 0.276 0.276
0.290 0.740 0.740
0.710 0.260 0.260
0.724 0.724 0.724
0.740 0.290 0.740
0.740 0.740 0.290
```

> Number 2 is which compound?

Li4Ag2F9